(1)
Starting from a structure optimized by DFT (GGA-PBE), the X-ray powder pattern of AcLa4Co2 was simulated for Cu Kα.
Neutral-atom scattering factors, no anomalous dispersion.

The 12 most intense peaks (5 to 70 degrees two-theta), in order of rising 2θ:
| two_theta | d (Å) | I (rel.) |
| --- | --- | --- |
| 25.50 | 3.493 | 470 |
| 26.77 | 3.330 | 445 |
| 27.66 | 3.225 | 986 |
| 27.90 | 3.198 | 1000 |
| 28.93 | 3.086 | 556 |
| 29.15 | 3.064 | 796 |
| 29.61 | 3.017 | 845 |
| 31.89 | 2.806 | 745 |
| 32.32 | 2.770 | 917 |
| 32.56 | 2.750 | 930 |
| 33.39 | 2.684 | 582 |
| 35.83 | 2.506 | 644 |

```
data_AcLa4Co2
_chemical_formula_sum 'Ac2 La8 Co4'
_cell_length_a 7.196
_cell_length_b 6.986
_cell_length_c 9.060
_cell_angle_alpha 90.00
_cell_angle_beta 112.24
_cell_angle_gamma 90.00
_space_group_name_H-M_alt 'P 1'
_space_group_IT_number 1
loop_
_space_group_symop_operation_xyz
'x,y,z'
loop_
_atom_site_label
_atom_site_type_symbol
_atom_site_fract_x
_atom_site_fract_y
_atom_site_fract_z
Ac1 Ac 0.237 0.250 0.207
Ac2 Ac 0.763 0.750 0.793
La1 La 0.005 0.750 0.223
La2 La 0.283 0.003 0.577
La3 La 0.283 0.497 0.577
La4 La 0.327 0.750 0.995
La5 La 0.673 0.250 0.005
La6 La 0.717 0.503 0.423
La7 La 0.717 0.997 0.423
La8 La 0.995 0.250 0.777
Co1 Co 0.033 0.750 0.645
Co2 Co 0.366 0.750 0.331
Co3 Co 0.634 0.250 0.669
Co4 Co 0.967 0.250 0.355
```

---

(2)
Starting from a structure optimized by DFT (GGA-PBE), the X-ray powder pattern of AcLaCo3 was simulated for Cu Kα.
Neutral-atom scattering factors, no anomalous dispersion.

The 12 most intense peaks (5 to 70 degrees two-theta), in order of rising 2θ:
| two_theta | d (Å) | I (rel.) |
| --- | --- | --- |
| 26.06 | 3.419 | 671 |
| 27.14 | 3.286 | 529 |
| 30.99 | 2.886 | 309 |
| 31.93 | 2.803 | 814 |
| 32.49 | 2.756 | 1000 |
| 35.32 | 2.541 | 610 |
| 42.91 | 2.108 | 390 |
| 45.28 | 2.003 | 333 |
| 47.32 | 1.921 | 515 |
| 56.47 | 1.629 | 317 |
| 64.15 | 1.452 | 239 |
| 65.77 | 1.420 | 375 |

```
data_AcLaCo3
_chemical_formula_sum 'Ac2 La2 Co6'
_cell_length_a 13.304
_cell_length_b 13.304
_cell_length_c 4.005
_cell_angle_alpha 90.00
_cell_angle_beta 90.00
_cell_angle_gamma 161.77
_space_group_name_H-M_alt 'P 1'
_space_group_IT_number 1
loop_
_space_group_symop_operation_xyz
'x,y,z'
loop_
_atom_site_label
_atom_site_type_symbol
_atom_site_fract_x
_atom_site_fract_y
_atom_site_fract_z
Ac1 Ac 0.194 0.806 0.750
Ac2 Ac 0.806 0.194 0.250
La1 La 0.065 0.935 0.250
La2 La 0.935 0.065 0.750
Co1 Co 0.350 0.650 0.750
Co2 Co 0.391 0.609 0.250
Co3 Co 0.479 0.521 0.250
Co4 Co 0.521 0.479 0.750
Co5 Co 0.609 0.391 0.750
Co6 Co 0.650 0.350 0.250
```

---

(3)
Starting from a structure optimized by DFT (GGA-PBE), the X-ray powder pattern of Ac3La5Co2 was simulated for Cu Kα.
Neutral-atom scattering factors, no anomalous dispersion.

The 12 most intense peaks (5 to 70 degrees two-theta), in order of rising 2θ:
| two_theta | d (Å) | I (rel.) |
| --- | --- | --- |
| 27.29 | 3.268 | 1000 |
| 28.06 | 3.180 | 859 |
| 31.50 | 2.840 | 931 |
| 33.17 | 2.701 | 418 |
| 44.12 | 2.053 | 230 |
| 46.15 | 1.967 | 123 |
| 46.39 | 1.957 | 604 |
| 53.11 | 1.725 | 302 |
| 54.44 | 1.685 | 216 |
| 55.75 | 1.649 | 130 |
| 56.30 | 1.634 | 187 |
| 58.01 | 1.590 | 126 |

```
data_Ac3La5Co2
_chemical_formula_sum 'Ac6 La10 Co4'
_cell_length_a 10.389
_cell_length_b 10.389
_cell_length_c 10.389
_cell_angle_alpha 117.35
_cell_angle_beta 81.54
_cell_angle_gamma 133.45
_space_group_name_H-M_alt 'P 1'
_space_group_IT_number 1
loop_
_space_group_symop_operation_xyz
'x,y,z'
loop_
_atom_site_label
_atom_site_type_symbol
_atom_site_fract_x
_atom_site_fract_y
_atom_site_fract_z
Ac1 Ac 0.142 0.737 0.879
Ac2 Ac 0.250 0.250 0.000
Ac3 Ac 0.358 0.237 0.595
Ac4 Ac 0.642 0.763 0.405
Ac5 Ac 0.750 0.750 0.000
Ac6 Ac 0.858 0.263 0.121
La1 La 0.003 0.250 0.753
La2 La 0.111 0.261 0.372
La3 La 0.250 0.750 0.500
La4 La 0.389 0.761 0.150
La5 La 0.497 0.250 0.247
La6 La 0.503 0.750 0.753
La7 La 0.611 0.239 0.850
La8 La 0.750 0.250 0.500
La9 La 0.889 0.739 0.628
La10 La 0.997 0.750 0.247
Co1 Co 0.139 0.016 0.155
Co2 Co 0.361 0.516 0.877
Co3 Co 0.639 0.484 0.123
Co4 Co 0.861 0.984 0.845
```

---

(4)
Starting from a structure optimized by DFT (GGA-PBE), the X-ray powder pattern of Ac2La6CoRh was simulated for Cu Kα.
Neutral-atom scattering factors, no anomalous dispersion.

The 12 most intense peaks (5 to 70 degrees two-theta), in order of rising 2θ:
| two_theta | d (Å) | I (rel.) |
| --- | --- | --- |
| 22.26 | 3.993 | 161 |
| 23.43 | 3.797 | 72 |
| 27.84 | 3.204 | 1000 |
| 29.92 | 2.986 | 214 |
| 33.37 | 2.685 | 532 |
| 34.36 | 2.610 | 196 |
| 45.43 | 1.996 | 272 |
| 47.92 | 1.898 | 192 |
| 48.66 | 1.871 | 149 |
| 51.86 | 1.763 | 158 |
| 56.33 | 1.633 | 281 |
| 57.53 | 1.602 | 135 |

```
data_Ac2La6CoRh
_chemical_formula_sum 'Ac2 La6 Co1 Rh1'
_cell_length_a 7.594
_cell_length_b 7.594
_cell_length_c 8.026
_cell_angle_alpha 118.21
_cell_angle_beta 118.17
_cell_angle_gamma 90.00
_space_group_name_H-M_alt 'P 1'
_space_group_IT_number 1
loop_
_space_group_symop_operation_xyz
'x,y,z'
loop_
_atom_site_label
_atom_site_type_symbol
_atom_site_fract_x
_atom_site_fract_y
_atom_site_fract_z
Ac1 Ac 0.000 0.000 0.000
Ac2 Ac 0.499 0.499 0.000
La1 La 0.006 0.019 0.527
La2 La 0.006 0.506 0.527
La3 La 0.055 0.556 0.112
La4 La 0.519 0.019 0.528
La5 La 0.519 0.507 0.528
La6 La 0.560 0.060 0.121
Co1 Co 0.827 0.328 0.658
Rh1 Rh 0.323 0.825 0.651
```

---

(5)
Starting from a structure optimized by DFT (GGA-PBE), the X-ray powder pattern of Ac2La6CoTc was simulated for Cu Kα.
Neutral-atom scattering factors, no anomalous dispersion.

The 12 most intense peaks (5 to 70 degrees two-theta), in order of rising 2θ:
| two_theta | d (Å) | I (rel.) |
| --- | --- | --- |
| 25.88 | 3.442 | 239 |
| 27.00 | 3.302 | 563 |
| 28.46 | 3.136 | 418 |
| 28.71 | 3.109 | 1000 |
| 29.79 | 2.999 | 943 |
| 30.61 | 2.921 | 404 |
| 36.88 | 2.437 | 219 |
| 46.05 | 1.971 | 432 |
| 48.07 | 1.893 | 254 |
| 50.16 | 1.819 | 215 |
| 53.66 | 1.708 | 231 |
| 54.52 | 1.683 | 266 |

```
data_Ac2La6CoTc
_chemical_formula_sum 'Ac2 La6 Co1 Tc1'
_cell_length_a 7.738
_cell_length_b 7.738
_cell_length_c 9.092
_cell_angle_alpha 124.65
_cell_angle_beta 124.65
_cell_angle_gamma 62.10
_space_group_name_H-M_alt 'P 1'
_space_group_IT_number 1
loop_
_space_group_symop_operation_xyz
'x,y,z'
loop_
_atom_site_label
_atom_site_type_symbol
_atom_site_fract_x
_atom_site_fract_y
_atom_site_fract_z
Ac1 Ac 0.197 0.197 0.163
Ac2 Ac 0.803 0.803 0.837
La1 La 0.239 0.702 0.677
La2 La 0.291 0.269 0.812
La3 La 0.298 0.761 0.323
La4 La 0.721 0.206 0.667
La5 La 0.731 0.709 0.188
La6 La 0.794 0.279 0.333
Co1 Co 0.025 0.975 0.500
Tc1 Tc 0.682 0.318 0.000
```

---

(6)
Starting from a structure optimized by DFT (GGA-PBE), the X-ray powder pattern of Li5Ac4Co2 was simulated for Cu Kα.
Neutral-atom scattering factors, no anomalous dispersion.

The 12 most intense peaks (5 to 70 degrees two-theta), in order of rising 2θ:
| two_theta | d (Å) | I (rel.) |
| --- | --- | --- |
| 8.96 | 9.865 | 558 |
| 10.89 | 8.128 | 1000 |
| 20.32 | 4.370 | 441 |
| 21.83 | 4.071 | 514 |
| 22.92 | 3.881 | 529 |
| 27.32 | 3.264 | 333 |
| 30.81 | 2.902 | 402 |
| 31.86 | 2.809 | 757 |
| 33.68 | 2.661 | 415 |
| 35.79 | 2.509 | 409 |
| 35.95 | 2.498 | 357 |
| 38.16 | 2.358 | 283 |

```
data_Li5Ac4Co2
_chemical_formula_sum 'Li5 Ac4 Co2'
_cell_length_a 8.152
_cell_length_b 3.881
_cell_length_c 9.895
_cell_angle_alpha 90.00
_cell_angle_beta 94.47
_cell_angle_gamma 90.00
_space_group_name_H-M_alt 'P 1'
_space_group_IT_number 1
loop_
_space_group_symop_operation_xyz
'x,y,z'
loop_
_atom_site_label
_atom_site_type_symbol
_atom_site_fract_x
_atom_site_fract_y
_atom_site_fract_z
Li1 Li 0.000 0.000 0.000
Li2 Li 0.049 0.000 0.315
Li3 Li 0.305 0.000 0.846
Li4 Li 0.695 0.000 0.154
Li5 Li 0.951 0.000 0.685
Ac1 Ac 0.286 0.500 0.551
Ac2 Ac 0.338 0.500 0.164
Ac3 Ac 0.662 0.500 0.836
Ac4 Ac 0.714 0.500 0.449
Co1 Co 0.447 0.000 0.363
Co2 Co 0.553 0.000 0.637
```